No. 1
LiCo2O4: calculated PXRD pattern (CuKα), based on a DFT-relaxed cell (PBE+U, the Materials Project).
Lines closer than 0.1° are merged.

Structure:
```
data_LiCo2O4
_chemical_formula_sum 'Li4 Co8 O16'
_space_group_name_H-M_alt 'P m m n'
_space_group_IT_number 59
_cell_length_a 5.6240
_cell_length_b 10.1039
_cell_length_c 4.8600
_cell_angle_alpha 90.00
_cell_angle_beta 90.00
_cell_angle_gamma 90.00
loop_
_space_group_symop_operation_xyz
'x,y,z'
'-x,-y,-z'
'-x+1/2,-y+1/2,z'
'x+1/2,y+1/2,-z'
'x+1/2,-y,-z'
'-x+1/2,y,z'
'-x,y+1/2,-z'
'x,-y+1/2,z'
loop_
_atom_site_label
_atom_site_fract_x
_atom_site_fract_y
_atom_site_fract_z
Li1 0.2500 0.2500 0.0203
Li2 0.2500 0.7500 0.3567
Co1 0.0000 0.0000 0.5000
Co2 0.2500 0.5051 0.9961
O1 0.0015 0.1003 0.8296
O2 0.2500 0.0950 0.3259
O3 0.2500 0.5995 0.6539
```

Largest 8 diffraction maxima, low angle first, 5 to 70 degrees two-theta:
hkl, two_theta, intensity
0 2 0, 17.56, 1000
0 0 2, 36.95, 189
2 2 1, 41.19, 404
0 3 2, 46.02, 64
0 4 2, 52.20, 334
2 0 3, 66.62, 75
2 6 1, 67.67, 134
2 2 3, 69.50, 73

=====

No. 2
Li3Co4O8: calculated PXRD pattern (CuKα), based on a DFT-relaxed cell (PBE+U, the Materials Project).
Lines closer than 0.1° are merged.

Structure:
```
data_Li3Co4O8
_chemical_formula_sum 'Li12 Co16 O32'
_space_group_name_H-M_alt 'C 1 2 1'
_space_group_IT_number 5
_space_group_name_Hall 'C 2y'
_cell_length_a 10.2912
_cell_length_b 5.7910
_cell_length_c 9.9688
_cell_angle_alpha 90.00
_cell_angle_beta 108.94
_cell_angle_gamma 90.00
loop_
_atom_site_label
_atom_site_fract_x
_atom_site_fract_y
_atom_site_fract_z
Li1 0.2483 0.0000 0.2496
Li2 0.2493 0.7454 0.4930
Li3 0.2494 0.7505 0.9920
Co1 0.0000 0.4996 0.0000
Co2 0.0000 0.5033 0.5000
Co3 0.0000 0.9924 0.5000
Co4 0.0000 0.9932 0.0000
Co5 0.0006 0.7482 0.7504
Co6 0.0021 0.2488 0.7504
O1 0.1045 0.5130 0.3718
O2 0.1047 0.7549 0.1228
O3 0.1063 0.2372 0.1187
O4 0.1056 0.2567 0.6179
O5 0.1062 0.7401 0.6227
O6 0.1058 0.9835 0.8729
O7 0.1120 0.9821 0.3659
O8 0.1137 0.5140 0.8667
```

Largest 8 diffraction maxima, low angle first, 5 to 70 degrees two-theta:
hkl, two_theta, intensity
2 0 0, 18.23, 1000
0 2 2, 36.41, 244
2 0 -4, 36.57, 117
2 2 -2, 37.98, 80
2 2 2, 43.90, 608
6 0 -4, 57.55, 145
6 2 -2, 63.00, 108
2 2 -6, 64.68, 108

=====

No. 3
Li3Co4O8: calculated PXRD pattern (CuKα), based on a DFT-relaxed cell (PBE+U, the Materials Project).
Lines closer than 0.1° are merged.

Structure:
```
data_Li3Co4O8
_chemical_formula_sum 'Li6 Co8 O16'
_space_group_name_H-M_alt 'P -1'
_space_group_IT_number 2
_space_group_name_Hall '-P 1'
_cell_length_a 5.7367
_cell_length_b 5.7390
_cell_length_c 10.3226
_cell_angle_alpha 73.91
_cell_angle_beta 89.89
_cell_angle_gamma 60.62
loop_
_atom_site_label
_atom_site_fract_x
_atom_site_fract_y
_atom_site_fract_z
Li1 0.2403 0.0093 0.2425
Li2 0.2449 0.5020 0.2484
Li3 0.2506 0.4973 0.7551
Co1 0.0000 0.0000 0.0000
Co2 0.0000 0.0000 0.5000
Co3 0.0000 0.5000 0.0000
Co4 0.0000 0.5000 0.5000
Co5 0.5000 0.0000 0.0000
Co6 0.5000 0.0000 0.5000
Co7 0.5000 0.5000 0.0000
Co8 0.5000 0.5000 0.5000
O1 0.1088 0.2627 0.3869
O2 0.1260 0.7335 0.8893
O3 0.1269 0.2493 0.8912
O4 0.1429 0.7171 0.3955
O5 0.3552 0.2687 0.1103
O6 0.3625 0.2707 0.5997
O7 0.3720 0.7571 0.1167
O8 0.3778 0.7589 0.6027
```

Largest 8 diffraction maxima, low angle first, 5 to 70 degrees two-theta:
hkl, two_theta, intensity
0 0 2, 18.12, 1000
2 0 0, 36.45, 244
2 2 0, 36.78, 164
2 0 2, 43.65, 207
0 2 4, 43.94, 203
2 2 -2, 44.14, 200
2 2 4, 48.00, 78
4 2 0, 65.02, 107

=====

No. 4
Li2CoO3: calculated PXRD pattern (CuKα), based on a DFT-relaxed cell (PBE+U, the Materials Project).
Lines closer than 0.1° are merged.

Structure:
```
data_Li2CoO3
_chemical_formula_sum 'Li8 Co4 O12'
_space_group_name_H-M_alt 'P 42/m n m'
_space_group_IT_number 136
_space_group_name_Hall '-P 4n 2n'
_cell_length_a 9.1055
_cell_length_b 9.1055
_cell_length_c 3.2716
_cell_angle_alpha 90.00
_cell_angle_beta 90.00
_cell_angle_gamma 90.00
loop_
_atom_site_label
_atom_site_fract_x
_atom_site_fract_y
_atom_site_fract_z
Li1 0.1119 0.3200 0.0000
Co1 0.1103 0.8897 0.0000
O1 0.0935 0.0935 0.0000
O2 0.0983 0.6997 0.0000
```

Largest 8 diffraction maxima, low angle first, 5 to 70 degrees two-theta:
hkl, two_theta, intensity
1 1 0, 13.75, 758
2 1 0, 21.83, 554
1 0 1, 29.00, 1000
1 1 1, 30.65, 177
4 0 0, 39.59, 272
4 1 1, 49.82, 156
5 1 0, 51.15, 157
5 0 1, 57.96, 302

=====

No. 5
Li3CoO3: calculated PXRD pattern (CuKα), based on a DFT-relaxed cell (PBE+U, the Materials Project).
Lines closer than 0.1° are merged.

Structure:
```
data_Li3CoO3
_chemical_formula_sum 'Li6 Co2 O6'
_space_group_name_H-M_alt 'P -1'
_space_group_IT_number 2
_space_group_name_Hall '-P 1'
_cell_length_a 5.2167
_cell_length_b 5.4835
_cell_length_c 5.5848
_cell_angle_alpha 117.96
_cell_angle_beta 90.01
_cell_angle_gamma 90.97
loop_
_atom_site_label
_atom_site_fract_x
_atom_site_fract_y
_atom_site_fract_z
Li1 0.0547 0.2349 0.4907
Li2 0.3721 0.4932 0.2913
Li3 0.4144 0.9738 0.7017
Co1 0.1505 0.7880 0.0007
O1 0.2103 0.1555 0.0255
O2 0.2496 0.8590 0.3406
O3 0.2647 0.5674 0.6651
```

Largest 8 diffraction maxima, low angle first, 5 to 70 degrees two-theta:
hkl, two_theta, intensity
1 0 0, 17.00, 532
0 0 1, 17.98, 1000
1 0 -1, 24.73, 306
1 -1 0, 24.85, 292
1 1 0, 25.32, 887
1 1 -1, 25.51, 446
0 2 -1, 32.68, 572
2 -1 1, 39.26, 294

=====

No. 6
Li3Co4O8: calculated PXRD pattern (CuKα), based on a DFT-relaxed cell (PBE+U, the Materials Project).
Lines closer than 0.1° are merged.

Structure:
```
data_Li3Co4O8
_chemical_formula_sum 'Li6 Co8 O16'
_space_group_name_H-M_alt 'C 1 2/m 1'
_space_group_IT_number 12
_space_group_name_Hall '-C 2y'
_cell_length_a 7.9490
_cell_length_b 8.3629
_cell_length_c 5.6939
_cell_angle_alpha 90.00
_cell_angle_beta 132.91
_cell_angle_gamma 90.00
loop_
_atom_site_label
_atom_site_fract_x
_atom_site_fract_y
_atom_site_fract_z
Li1 0.0000 0.0000 0.0000
Li2 0.2500 0.2500 0.0000
Co1 0.0000 0.5000 0.0000
Co2 0.0000 0.5000 0.5000
Co3 0.2500 0.2500 0.5000
O1 0.0000 0.2751 0.0000
O2 0.0000 0.2771 0.5000
O3 0.2113 0.5000 0.9483
O4 0.2250 0.5000 0.4675
```

Largest 8 diffraction maxima, low angle first, 5 to 70 degrees two-theta:
hkl, two_theta, intensity
1 1 0, 18.57, 1000
0 0 1, 21.31, 204
2 0 -1, 22.37, 215
0 2 1, 30.27, 193
0 4 0, 43.28, 356
0 0 2, 43.40, 360
4 0 -2, 45.67, 315
0 4 2, 62.96, 189

=====

No. 7
LiCo2O4: calculated PXRD pattern (CuKα), based on a DFT-relaxed cell (PBE+U, the Materials Project).
Lines closer than 0.1° are merged.

Structure:
```
data_LiCo2O4
_chemical_formula_sum 'Li6 Co12 O24'
_space_group_name_H-M_alt 'R 3 m'
_space_group_IT_number 160
_space_group_name_Hall 'R 3 -2"'
_cell_length_a 5.7135
_cell_length_b 5.7135
_cell_length_c 14.2324
_cell_angle_alpha 90.00
_cell_angle_beta 90.00
_cell_angle_gamma 120.00
loop_
_atom_site_label
_atom_site_fract_x
_atom_site_fract_y
_atom_site_fract_z
Li1 0.0000 0.0000 0.0000
Li2 0.0000 0.0000 0.3786
Co1 0.0000 0.0000 0.7573
Co2 0.0047 0.5024 0.8796
O1 0.0000 0.0000 0.1417
O2 0.0000 0.0000 0.6181
O3 0.0275 0.5138 0.1413
O4 0.1811 0.3622 0.9474
```

Largest 8 diffraction maxima, low angle first, 5 to 70 degrees two-theta:
hkl, two_theta, intensity
0 0 3, 18.70, 1000
0 1 2, 21.88, 462
1 0 4, 30.96, 442
1 1 3, 36.72, 484
0 2 1, 36.88, 821
0 2 4, 44.61, 538
2 0 8, 64.52, 333
2 2 0, 65.33, 352